No. 1
For NbVF6, a crystal structure in the Materials Project, relaxed with PBE+U gives the calculated X-ray diffraction stick pattern in this record (CuKα).

Main lines, in order of rising 2θ (10° ≤ 2θ ≤ 90°):
19.4 deg, d 4.568, intensity 10
22.2 deg, d 4.007, intensity 100
30.9 deg, d 2.890, intensity 18
32.2 deg, d 2.780, intensity 11
37.3 deg, d 2.408, intensity 12
45.3 deg, d 2.003, intensity 22
50.1 deg, d 1.820, intensity 24
51.8 deg, d 1.765, intensity 15
56.6 deg, d 1.625, intensity 8
71.9 deg, d 1.313, intensity 7

Structure:
```
NbVF6
1.0
2.780 1.605 4.817
-2.780 1.605 4.817
0.000 -3.210 4.817
Nb V F
1 1 6
Direct
0.000 0.000 0.000 Nb
0.500 0.500 0.500 V
0.164 0.327 0.757 F
0.243 0.836 0.673 F
0.327 0.757 0.164 F
0.673 0.243 0.836 F
0.757 0.164 0.327 F
0.836 0.673 0.243 F
```

No. 2
For NbV3F6, a crystal structure in the Materials Project, relaxed with PBE+U gives the calculated X-ray diffraction stick pattern in this record (CuKα).

Main lines, in order of rising 2θ (10° ≤ 2θ ≤ 90°):
14.0 deg, d 6.323, intensity 100
15.5 deg, d 5.706, intensity 10
16.3 deg, d 5.433, intensity 74
21.1 deg, d 4.215, intensity 15
21.7 deg, d 4.100, intensity 17
21.9 deg, d 4.062, intensity 15
32.9 deg, d 2.721, intensity 15
33.0 deg, d 2.712, intensity 10
35.5 deg, d 2.529, intensity 10
43.2 deg, d 2.094, intensity 10

Structure:
```
NbV3F6
1.0
6.180 0.000 0.000
-3.063 5.707 0.000
-0.290 -0.310 12.646
Nb V F
1 3 6
Direct
0.000 0.000 0.000 Nb
0.000 0.000 0.500 V
0.000 0.500 0.000 V
0.500 0.500 0.000 V
0.070 0.009 0.640 F
0.087 0.768 0.908 F
0.322 0.213 0.913 F
0.678 0.787 0.087 F
0.913 0.232 0.092 F
0.930 0.991 0.360 F
```

No. 3
For NiF2, a crystal structure in the Materials Project, relaxed with PBE+U gives the calculated X-ray diffraction stick pattern in this record (CuKα).

Main lines, in order of rising 2θ (10° ≤ 2θ ≤ 90°):
26.8 deg, d 3.324, intensity 100
34.5 deg, d 2.600, intensity 57
38.3 deg, d 2.351, intensity 10
39.6 deg, d 2.275, intensity 17
52.5 deg, d 1.744, intensity 66
55.3 deg, d 1.662, intensity 19
59.2 deg, d 1.560, intensity 10
62.5 deg, d 1.487, intensity 10
66.2 deg, d 1.413, intensity 13
66.8 deg, d 1.400, intensity 23

Structure:
```
NiF2
1.0
4.701 0.000 0.000
0.000 4.701 0.000
0.000 0.000 3.121
Ni F
2 4
Direct
0.000 0.000 0.000 Ni
0.500 0.500 0.500 Ni
0.196 0.196 0.500 F
0.304 0.696 0.000 F
0.696 0.304 0.000 F
0.804 0.804 0.500 F
```

No. 4
For NiF4, a crystal structure in the Materials Project, relaxed with PBE+U gives the calculated X-ray diffraction stick pattern in this record (CuKα).

Main lines, in order of rising 2θ (10° ≤ 2θ ≤ 90°):
17.6 deg, d 5.047, intensity 62
23.0 deg, d 3.873, intensity 100
29.1 deg, d 3.072, intensity 64
37.4 deg, d 2.407, intensity 29
37.8 deg, d 2.380, intensity 26
46.9 deg, d 1.936, intensity 12
49.1 deg, d 1.856, intensity 31
50.5 deg, d 1.808, intensity 13
56.1 deg, d 1.638, intensity 16
65.4 deg, d 1.428, intensity 25

Structure:
```
NiF4
1.0
-2.738 2.738 5.047
2.738 -2.738 5.047
2.738 2.738 -5.047
Ni F
2 8
Direct
0.000 0.500 0.500 Ni
0.500 0.000 0.500 Ni
0.044 0.544 0.828 F
0.216 0.044 0.500 F
0.284 0.784 0.828 F
0.456 0.284 0.500 F
0.544 0.716 0.500 F
0.716 0.216 0.172 F
0.784 0.956 0.500 F
0.956 0.456 0.172 F
```

No. 5
For NiF2, a crystal structure in the Materials Project, relaxed with PBE+U gives the calculated X-ray diffraction stick pattern in this record (CuKα).

Main lines, in order of rising 2θ (10° ≤ 2θ ≤ 90°):
26.9 deg, d 3.318, intensity 100
34.4 deg, d 2.606, intensity 25
34.7 deg, d 2.589, intensity 33
39.7 deg, d 2.272, intensity 17
52.3 deg, d 1.749, intensity 30
52.8 deg, d 1.734, intensity 37
55.4 deg, d 1.659, intensity 18
59.3 deg, d 1.559, intensity 10
66.3 deg, d 1.411, intensity 27
67.6 deg, d 1.387, intensity 10

Structure:
```
NiF2
1.0
4.644 0.000 0.000
0.000 4.744 0.000
0.000 0.000 3.118
Ni F
2 4
Direct
0.000 0.000 0.000 Ni
0.500 0.500 0.500 Ni
0.212 0.180 0.500 F
0.288 0.680 0.000 F
0.712 0.320 0.000 F
0.788 0.820 0.500 F
```

No. 6
For Ni3OF5, a crystal structure in the Materials Project, relaxed with PBE+U gives the calculated X-ray diffraction stick pattern in this record (CuKα).

Main lines, in order of rising 2θ (10° ≤ 2θ ≤ 90°):
26.5 deg, d 3.359, intensity 88
27.1 deg, d 3.294, intensity 86
34.7 deg, d 2.583, intensity 100
38.3 deg, d 2.352, intensity 17
52.3 deg, d 1.748, intensity 59
52.9 deg, d 1.730, intensity 53
54.7 deg, d 1.679, intensity 17
55.8 deg, d 1.647, intensity 16
59.9 deg, d 1.545, intensity 17
66.9 deg, d 1.398, intensity 50

Structure:
```
Ni3OF5
1.0
3.294 -3.359 0.000
3.294 3.359 0.000
0.000 0.000 9.270
Ni O F
6 2 10
Direct
0.000 0.000 0.000 Ni
0.002 0.002 0.670 Ni
0.484 0.484 0.833 Ni
0.500 0.500 0.500 Ni
0.516 0.516 0.167 Ni
0.998 0.998 0.330 Ni
0.190 0.190 0.834 O
0.810 0.810 0.166 O
0.195 0.195 0.498 F
0.208 0.208 0.167 F
0.299 0.692 0.667 F
0.303 0.697 0.000 F
0.308 0.701 0.333 F
0.692 0.299 0.667 F
0.697 0.303 0.000 F
0.701 0.308 0.333 F
0.792 0.792 0.833 F
0.805 0.805 0.502 F
```

No. 7
For Ni3OF5, a crystal structure in the Materials Project, relaxed with PBE+U gives the calculated X-ray diffraction stick pattern in this record (CuKα).

Main lines, in order of rising 2θ (10° ≤ 2θ ≤ 90°):
26.9 deg, d 3.317, intensity 100
34.7 deg, d 2.583, intensity 58
38.4 deg, d 2.345, intensity 10
39.8 deg, d 2.263, intensity 16
52.7 deg, d 1.736, intensity 65
55.4 deg, d 1.658, intensity 19
59.8 deg, d 1.547, intensity 9
62.6 deg, d 1.483, intensity 10
66.7 deg, d 1.402, intensity 13
67.1 deg, d 1.396, intensity 23

Structure:
```
Ni3OF5
1.0
4.690 0.000 0.000
0.000 5.623 0.000
-0.001 -0.508 7.745
Ni O F
6 2 10
Direct
0.000 0.000 0.000 Ni
0.000 0.330 0.324 Ni
0.003 0.675 0.655 Ni
0.476 0.841 0.329 Ni
0.491 0.161 0.660 Ni
0.498 0.504 0.990 Ni
0.189 0.039 0.227 O
0.297 0.873 0.558 O
0.190 0.703 0.892 F
0.191 0.370 0.558 F
0.297 0.205 0.892 F
0.297 0.537 0.224 F
0.687 0.802 0.098 F
0.692 0.467 0.756 F
0.693 0.133 0.428 F
0.795 0.300 0.093 F
0.796 0.633 0.424 F
0.800 0.967 0.765 F
```

No. 8
For Ni3OF5, a crystal structure in the Materials Project, relaxed with PBE+U gives the calculated X-ray diffraction stick pattern in this record (CuKα).

Main lines, in order of rising 2θ (10° ≤ 2θ ≤ 90°):
26.7 deg, d 3.333, intensity 88
26.9 deg, d 3.319, intensity 87
34.8 deg, d 2.578, intensity 100
38.3 deg, d 2.352, intensity 17
39.9 deg, d 2.261, intensity 28
52.6 deg, d 1.740, intensity 56
52.7 deg, d 1.736, intensity 56
60.0 deg, d 1.542, intensity 16
66.9 deg, d 1.399, intensity 42
67.0 deg, d 1.397, intensity 20

Structure:
```
Ni3OF5
1.0
6.638 0.000 0.000
0.000 3.083 0.000
-3.303 0.000 9.998
Ni O F
6 2 10
Direct
0.000 0.000 0.000 Ni
0.160 0.500 0.339 Ni
0.338 0.000 0.675 Ni
0.505 0.500 0.011 Ni
0.678 0.000 0.345 Ni
0.839 0.500 0.680 Ni
0.939 0.500 0.878 O
0.972 0.000 0.341 O
0.036 0.000 0.675 F
0.066 0.500 0.136 F
0.272 0.500 0.544 F
0.308 0.000 0.008 F
0.368 0.000 0.341 F
0.403 0.500 0.808 F
0.604 0.500 0.212 F
0.640 0.000 0.677 F
0.700 0.000 0.010 F
0.738 0.500 0.478 F
```

No. 9
For NiO4F2, a crystal structure in the Materials Project, relaxed with PBE+U gives the calculated X-ray diffraction stick pattern in this record (CuKα).

Main lines, in order of rising 2θ (10° ≤ 2θ ≤ 90°):
18.2 deg, d 4.862, intensity 99
20.9 deg, d 4.242, intensity 80
23.1 deg, d 3.856, intensity 100
31.3 deg, d 2.858, intensity 67
32.8 deg, d 2.727, intensity 29
33.8 deg, d 2.652, intensity 54
34.4 deg, d 2.605, intensity 26
37.2 deg, d 2.417, intensity 21
44.2 deg, d 2.048, intensity 29
45.4 deg, d 1.996, intensity 27

Structure:
```
NiO4F2
1.0
11.432 0.000 0.000
0.000 5.372 0.000
0.000 0.000 6.330
Ni O F
4 16 8
Direct
0.125 0.199 0.000 Ni
0.375 0.199 0.500 Ni
0.625 0.801 0.000 Ni
0.875 0.801 0.500 Ni
0.061 0.889 0.431 O
0.109 0.908 0.257 O
0.150 0.427 0.718 O
0.185 0.315 0.559 O
0.315 0.315 0.059 O
0.350 0.427 0.218 O
0.391 0.908 0.757 O
0.439 0.889 0.931 O
0.561 0.111 0.431 O
0.609 0.092 0.257 O
0.650 0.573 0.718 O
0.685 0.685 0.559 O
0.815 0.685 0.059 O
0.850 0.573 0.218 O
0.891 0.092 0.757 O
0.939 0.111 0.931 O
0.088 0.453 0.176 F
0.166 0.939 0.829 F
0.334 0.939 0.329 F
0.412 0.453 0.676 F
0.588 0.547 0.176 F
0.666 0.061 0.829 F
0.834 0.061 0.329 F
0.912 0.547 0.676 F
```

No. 10
For Ni3OF5, a crystal structure in the Materials Project, relaxed with PBE+U gives the calculated X-ray diffraction stick pattern in this record (CuKα).

Main lines, in order of rising 2θ (10° ≤ 2θ ≤ 90°):
26.5 deg, d 3.359, intensity 87
27.0 deg, d 3.298, intensity 86
34.7 deg, d 2.587, intensity 100
38.2 deg, d 2.353, intensity 17
52.3 deg, d 1.750, intensity 59
52.9 deg, d 1.732, intensity 54
54.7 deg, d 1.679, intensity 17
55.7 deg, d 1.649, intensity 16
59.7 deg, d 1.549, intensity 17
66.9 deg, d 1.399, intensity 39

Structure:
```
Ni3OF5
1.0
4.707 0.000 0.000
0.086 5.632 0.000
0.085 0.527 7.763
Ni O F
6 2 10
Direct
0.000 0.000 0.000 Ni
0.007 0.326 0.667 Ni
0.487 0.840 0.671 Ni
0.500 0.500 0.000 Ni
0.513 0.160 0.329 Ni
0.993 0.674 0.333 Ni
0.194 0.036 0.770 O
0.806 0.964 0.230 O
0.198 0.369 0.430 F
0.200 0.700 0.102 F
0.302 0.535 0.768 F
0.304 0.203 0.101 F
0.304 0.869 0.434 F
0.696 0.131 0.566 F
0.696 0.797 0.899 F
0.698 0.465 0.232 F
0.800 0.300 0.898 F
0.802 0.631 0.570 F
```

No. 11
For NiOF, a crystal structure in the Materials Project, relaxed with PBE+U gives the calculated X-ray diffraction stick pattern in this record (CuKα).

Main lines, in order of rising 2θ (10° ≤ 2θ ≤ 90°):
23.1 deg, d 3.851, intensity 89
31.0 deg, d 2.885, intensity 100
39.0 deg, d 2.309, intensity 20
44.4 deg, d 2.040, intensity 76
47.2 deg, d 1.925, intensity 31
50.6 deg, d 1.802, intensity 39
57.6 deg, d 1.601, intensity 32
64.6 deg, d 1.442, intensity 21
66.8 deg, d 1.400, intensity 37
83.8 deg, d 1.154, intensity 18

Structure:
```
NiOF
1.0
2.885 0.000 0.000
0.000 2.885 0.000
0.000 0.000 3.851
Ni O F
1 1 1
Direct
0.000 0.000 0.000 Ni
0.500 0.500 0.000 O
0.000 0.000 0.500 F
```

No. 12
For Ni3OF5, a crystal structure in the Materials Project, relaxed with PBE+U gives the calculated X-ray diffraction stick pattern in this record (CuKα).

Main lines, in order of rising 2θ (10° ≤ 2θ ≤ 90°):
26.6 deg, d 3.350, intensity 87
27.1 deg, d 3.290, intensity 86
34.7 deg, d 2.582, intensity 100
38.3 deg, d 2.348, intensity 17
52.4 deg, d 1.746, intensity 59
53.0 deg, d 1.729, intensity 53
54.8 deg, d 1.675, intensity 17
55.9 deg, d 1.645, intensity 15
59.8 deg, d 1.546, intensity 17
67.0 deg, d 1.396, intensity 39

Structure:
```
Ni3OF5
1.0
4.695 0.000 0.000
0.000 3.092 0.000
-0.254 0.000 14.087
Ni O F
6 2 10
Direct
0.000 0.000 0.000 Ni
0.010 0.000 0.669 Ni
0.487 0.500 0.829 Ni
0.500 0.500 0.500 Ni
0.513 0.500 0.171 Ni
0.990 0.000 0.331 Ni
0.301 0.000 0.767 O
0.699 0.000 0.233 O
0.196 0.500 0.599 F
0.197 0.500 0.935 F
0.198 0.500 0.269 F
0.301 0.000 0.433 F
0.305 0.000 0.103 F
0.695 0.000 0.897 F
0.699 0.000 0.567 F
0.802 0.500 0.731 F
0.803 0.500 0.065 F
0.804 0.500 0.401 F
```